1.
Structure and computed powder X-ray diffraction pattern of PmPr4Ho2Tm2 (the PBE geometry in Alexandria; CuKα).
Intensities are scaled so that the largest is 100.

Atomic structure:
Unit cell a=15.3567 b=5.1013 c=8.0742 alpha=90.00 beta=108.21 gamma=90.00
Space group C2/m (No. 12)
Unique sites:
Pm1 0.0000 0.0000 0.0000 (multiplicity 2)
Pr1 0.0535 0.5000 0.3307 (multiplicity 4)
Pr2 0.2233 0.0000 0.3307 (multiplicity 4)
Ho1 0.1116 0.0000 0.6695 (multiplicity 4)
Tm1 0.1686 0.5000 0.9993 (multiplicity 4)

Most intense lines, 10° ≤ 2θ ≤ 90°, low angle first:
hkl  2theta  intensity
3 1 1  30.29  100
0 0 3  35.08  34
0 2 0  35.19  17
6 0 2  50.33  6
0 2 3  50.54  30
3 1 4  59.90  14
3 3 1  60.08  21
3 3 -2  60.15  7
6 2 2  62.89  6
6 2 -4  63.11  6
3 3 -5  82.34  9
0 4 3  84.96  8



2.
Structure and computed powder X-ray diffraction pattern of Pm4PrY2Ho2 (the PBE geometry in Alexandria; CuKα).
Intensities are scaled so that the largest is 100.

Atomic structure:
Unit cell a=15.3381 b=5.0991 c=8.0770 alpha=90.00 beta=108.31 gamma=90.00
Space group C2/m (No. 12)
Unique sites:
Pm1 0.0552 0.0000 0.3321 (multiplicity 4)
Pm2 0.2227 0.5000 0.3318 (multiplicity 4)
Pr1 0.0000 0.5000 0.0000 (multiplicity 2)
Y1 0.1117 0.5000 0.6673 (multiplicity 4)
Ho1 0.1682 0.0000 0.9995 (multiplicity 4)

Most intense lines, 10° ≤ 2θ ≤ 90°, low angle first:
hkl  2theta  intensity
3 1 1  30.31  100
0 2 0  35.14  50
6 0 2  50.43  6
0 2 3  50.56  30
9 1 0  60.03  28
3 3 1  60.16  14
6 2 2  62.99  6
6 2 -4  63.10  6
0 0 6  74.20  4
9 3 0  82.31  14
0 2 6  84.88  8
0 4 3  85.03  5



3.
Structure and computed powder X-ray diffraction pattern of PmPrY6Ho2 (the PBE geometry in Alexandria; CuKα).
Intensities are scaled so that the largest is 100.

Atomic structure:
Unit cell a=9.4542 b=15.4829 c=9.0165 alpha=90.00 beta=91.18 gamma=90.00
Space group C2/c (No. 15)
Unique sites:
Pm1 0.0000 0.0652 0.2500 (multiplicity 4)
Pr1 0.0000 0.4436 0.7500 (multiplicity 4)
Y1 0.0695 0.3479 0.4316 (multiplicity 8)
Y2 0.0791 0.1418 0.5844 (multiplicity 8)
Y3 0.2487 0.2778 0.8173 (multiplicity 8)
Ho1 0.2471 0.0516 0.9358 (multiplicity 8)

Most intense lines, 10° ≤ 2θ ≤ 90°, low angle first:
hkl  2theta  intensity
0 2 0  11.43  24
1 3 2  28.07  25
2 2 -2  29.45  43
2 4 0  29.84  23
2 2 2  29.99  42
3 1 -1  30.42  35
3 1 1  30.80  21
2 4 -1  31.35  43
2 4 1  31.61  41
0 2 3  31.94  100
1 5 1  32.06  29
3 1 -2  34.93  19



4.
Structure and computed powder X-ray diffraction pattern of PmPrY3Ho (the PBE geometry in Alexandria; CuKα).
Intensities are scaled so that the largest is 100.

Atomic structure:
Unit cell a=5.0958 b=15.2794 c=10.1893 alpha=90.00 beta=90.00 gamma=90.00
Space group Cmcm (No. 63)
Unique sites:
Pm1 0.0000 0.0008 0.2500 (multiplicity 4)
Pr1 0.0000 0.5000 0.0000 (multiplicity 4)
Y1 0.0000 0.1678 0.0002 (multiplicity 8)
Y2 0.0000 0.3320 0.2500 (multiplicity 4)
Ho1 0.0000 0.3325 0.7500 (multiplicity 4)

Most intense lines, 10° ≤ 2θ ≤ 90°, low angle first:
hkl  2theta  intensity
0 2 0  11.58  2
0 2 1  14.49  2
1 1 1  20.33  2
1 1 2  25.40  2
1 3 2  30.39  100
2 0 0  35.23  50
2 6 0  50.68  36
3 3 2  60.25  42
2 6 4  63.23  12
4 0 0  74.50  6
3 3 6  82.54  17
4 6 0  85.18  16



5.
Structure and computed powder X-ray diffraction pattern of PmPr6YHo2 (the PBE geometry in Alexandria; CuKα).
Intensities are scaled so that the largest is 100.

Atomic structure:
Unit cell a=9.3435 b=15.4199 c=9.7958 alpha=90.00 beta=97.82 gamma=90.00
Space group C2/c (No. 15)
Unique sites:
Pm1 0.0000 0.0276 0.2500 (multiplicity 4)
Pr1 0.0640 0.1773 0.9456 (multiplicity 8)
Pr2 0.0972 0.3923 0.1191 (multiplicity 8)
Pr3 0.2132 0.2236 0.3146 (multiplicity 8)
Y1 0.0000 0.4097 0.7500 (multiplicity 4)
Ho1 0.2484 0.0481 0.5465 (multiplicity 8)

Most intense lines, 10° ≤ 2θ ≤ 90°, low angle first:
hkl  2theta  intensity
2 2 -2  27.32  20
1 3 2  27.94  44
3 1 -1  29.73  53
0 2 3  29.95  44
1 5 0  30.55  35
2 2 2  30.75  100
1 5 -1  31.56  30
3 1 -2  32.73  14
1 3 -3  33.03  36
3 3 1  36.20  16
1 1 -4  37.48  14
2 0 -6  57.76  17



6.
Structure and computed powder X-ray diffraction pattern of PmHoPt10 (the PBE geometry in Alexandria; CuKα).
Intensities are scaled so that the largest is 100.

Atomic structure:
Unit cell a=4.4551 b=5.3888 c=9.2830 alpha=90.00 beta=90.00 gamma=90.00
Space group Pmmm (No. 47)
Unique sites:
Pm1 0.0000 0.0000 0.0000 (multiplicity 1)
Ho1 0.0000 0.5000 0.5000 (multiplicity 1)
Pt1 0.0000 0.0000 0.3359 (multiplicity 2)
Pt2 0.0000 0.5000 0.1702 (multiplicity 2)
Pt3 0.5000 0.0000 0.5000 (multiplicity 1)
Pt4 0.5000 0.2508 0.2515 (multiplicity 4)
Pt5 0.5000 0.5000 0.0000 (multiplicity 1)

Most intense lines, 10° ≤ 2θ ≤ 90°, low angle first:
hkl  2theta  intensity
0 0 2  19.07  44
0 2 2  38.64  28
1 2 0  39.07  51
1 1 3  39.19  100
2 0 0  40.50  53
1 2 2  43.85  52
1 0 4  43.99  25
2 2 2  57.21  18
1 3 3  63.41  25
0 2 6  70.14  21
3 2 0  72.76  25
2 2 6  84.25  27



7.
Structure and computed powder X-ray diffraction pattern of PmHoSi2Pt4 (the PBE geometry in Alexandria; CuKα).
Intensities are scaled so that the largest is 100.

Atomic structure:
Unit cell a=4.1883 b=4.1883 c=8.8591 alpha=90.00 beta=90.00 gamma=90.00
Space group P4/mmm (No. 123)
Unique sites:
Pm1 0.0000 0.0000 0.0000 (multiplicity 1)
Ho1 0.0000 0.0000 0.5000 (multiplicity 1)
Si1 0.5000 0.5000 0.1342 (multiplicity 2)
Pt1 0.0000 0.5000 0.2710 (multiplicity 4)

Most intense lines, 10° ≤ 2θ ≤ 90°, low angle first:
hkl  2theta  intensity
0 0 2  20.05  19
1 0 0  21.21  11
1 0 2  29.35  16
1 1 0  30.19  14
1 1 2  36.50  100
0 0 4  40.74  14
2 0 0  43.21  44
2 0 4  60.89  22
2 2 0  62.75  12
1 1 6  71.38  10
3 1 2  74.82  25
2 2 4  77.55  9



8.
Structure and computed powder X-ray diffraction pattern of Pm8Ho4Pu (the PBE geometry in Alexandria; CuKα).
Intensities are scaled so that the largest is 100.

Atomic structure:
Unit cell a=7.8226 b=7.8226 c=7.8226 alpha=90.00 beta=90.00 gamma=90.00
Space group Pm-3m (No. 221)
Unique sites:
Pm1 0.2435 0.2435 0.2435 (multiplicity 8)
Ho1 0.0000 0.0000 0.0000 (multiplicity 1)
Ho2 0.0000 0.5000 0.5000 (multiplicity 3)
Pu1 0.5000 0.5000 0.5000 (multiplicity 1)

Most intense lines, 10° ≤ 2θ ≤ 90°, low angle first:
hkl  2theta  intensity
1 0 0  11.31  5
1 1 0  16.02  7
1 1 1  19.66  10
2 1 0  25.46  7
2 1 1  27.94  4
2 2 0  32.37  100
3 1 1  38.16  5
4 0 0  46.43  18
4 2 2  57.74  38
4 4 0  67.76  12
6 2 0  77.11  16
4 4 4  86.12  4



9.
Structure and computed powder X-ray diffraction pattern of Pm6Ho2Pu (the PBE geometry in Alexandria; CuKα).
Intensities are scaled so that the largest is 100.

Atomic structure:
Unit cell a=10.7737 b=10.7737 c=5.0906 alpha=90.00 beta=90.00 gamma=90.00
Space group P4_2/mnm (No. 136)
Unique sites:
Pm1 0.9999 0.3290 0.0000 (multiplicity 8)
Pm2 0.1639 0.1639 0.5000 (multiplicity 4)
Ho1 0.1647 0.8353 0.5000 (multiplicity 4)
Pu1 0.0000 0.0000 0.0000 (multiplicity 2)

Most intense lines, 10° ≤ 2θ ≤ 90°, low angle first:
hkl  2theta  intensity
1 1 0  11.62  3
3 0 1  30.46  100
0 0 2  35.32  51
3 3 2  50.81  36
3 0 3  60.33  14
6 3 1  60.44  29
6 0 2  63.39  12
0 0 4  74.57  2
6 6 0  74.77  4
6 3 3  82.77  18
3 3 4  85.31  6
6 6 2  85.48  11



10.
Structure and computed powder X-ray diffraction pattern of Pm6Ho3Pu (the PBE geometry in Alexandria; CuKα).
Intensities are scaled so that the largest is 100.

Atomic structure:
Unit cell a=6.1497 b=9.3431 c=12.9416 alpha=90.00 beta=117.18 gamma=90.00
Space group P2_1/c (No. 14)
Unique sites:
Pm1 0.0666 0.1631 0.0723 (multiplicity 4)
Pm2 0.3804 0.0180 0.7432 (multiplicity 4)
Pm3 0.4163 0.1592 0.4300 (multiplicity 4)
Ho1 0.1283 0.6667 0.7488 (multiplicity 4)
Ho2 0.5000 0.0000 0.0000 (multiplicity 2)
Pu1 0.0000 0.0000 0.5000 (multiplicity 2)

Most intense lines, 10° ≤ 2θ ≤ 90°, low angle first:
hkl  2theta  intensity
1 2 -2  25.25  15
1 1 2  28.79  32
2 0 -2  29.05  30
1 1 -4  29.29  30
0 2 3  30.14  45
0 0 4  31.07  22
2 1 -3  31.76  16
1 3 -1  32.22  100
2 0 -4  33.33  23
1 1 -5  36.02  16
3 3 -1  55.75  15
3 3 -5  56.33  16



11.
Structure and computed powder X-ray diffraction pattern of Pm8Ho5Pu (the PBE geometry in Alexandria; CuKα).
Intensities are scaled so that the largest is 100.

Atomic structure:
Unit cell a=14.4701 b=8.9160 c=9.3756 alpha=90.00 beta=128.48 gamma=90.00
Space group C2 (No. 5)
Unique sites:
Pm1 0.0344 0.0000 0.3623 (multiplicity 4)
Pm2 0.1837 0.5813 0.7131 (multiplicity 4)
Pm3 0.1985 0.3253 0.4280 (multiplicity 4)
Pm4 0.2481 0.6558 0.1789 (multiplicity 4)
Ho1 0.0000 0.9607 0.0000 (multiplicity 2)
Ho2 0.0357 0.6362 0.2261 (multiplicity 4)
Ho3 0.1007 0.3162 0.9550 (multiplicity 4)
Pu1 0.0000 0.3183 0.5000 (multiplicity 2)

Most intense lines, 10° ≤ 2θ ≤ 90°, low angle first:
hkl  2theta  intensity
3 1 0  25.62  13
4 0 -3  29.92  22
3 1 -3  30.32  35
1 3 0  31.11  47
0 2 2  31.58  100
4 2 -1  32.75  40
5 1 -3  34.74  14
5 1 -1  34.88  31
4 2 -3  36.21  17
4 4 -3  51.14  13
5 3 1  58.50  15
8 0 -6  62.16  12



12.
Structure and computed powder X-ray diffraction pattern of Pm4HoRh4 (the PBE geometry in Alexandria; CuKα).
Intensities are scaled so that the largest is 100.

Atomic structure:
Unit cell a=8.8779 b=8.8779 c=5.7494 alpha=90.00 beta=90.00 gamma=90.00
Space group P4_2/n (No. 86, origin choice 2)
Unique sites:
Pm1 0.0599 0.6681 0.1536 (multiplicity 8)
Ho1 0.2500 0.2500 0.2500 (multiplicity 2)
Rh1 0.0214 0.6296 0.6470 (multiplicity 8)

Most intense lines, 10° ≤ 2θ ≤ 90°, low angle first:
hkl  2theta  intensity
1 0 1  18.38  13
2 1 1  27.30  31
0 0 2  31.11  10
1 3 0  31.88  100
1 0 2  32.75  40
1 2 2  38.67  30
2 3 1  39.83  12
3 0 2  43.91  14
1 3 2  45.14  14
4 2 0  45.70  32
2 3 2  48.69  26
4 1 2  53.14  18